Entry 1:
NaMgCd4: simulated powder XRD pattern (Cu Kα), based on a crystal structure in Alexandria, relaxed with GGA-PBE.
Lines closer than 0.1° are merged.

Cell and atoms:
a = 3.1475 Å, b = 5.0855 Å, c = 8.7225 Å
α = 90.00°, β = 90.05°, γ = 90.00°
Space group P2/m (No. 10)
Symmetry-distinct sites (fractional):
1 Na 0.0000 0.0000 0.0000 x1
2 Mg 0.0000 0.5000 0.5000 x1
3 Cd 0.4983 0.0000 0.6654 x2
4 Cd 0.5003 0.5000 0.1696 x2

Peak list (8 most intense, 2θ = 10–90°, in order of rising 2θ)
(hkl), 2θ (°), intensity
0 1 1, 20.21, 504
1 0 0, 28.36, 590
1 0 -2, 35.09, 782
0 2 0, 35.30, 512
0 1 3, 35.57, 1000
1 2 0, 45.88, 309
1 1 3, 46.10, 607
0 3 3, 63.52, 268



Entry 2:
Na2Mg3Cd4: simulated powder XRD pattern (Cu Kα), based on a crystal structure in Alexandria, relaxed with GGA-PBE.
Lines closer than 0.1° are merged.

Cell and atoms:
a = 5.0366 Å, b = 5.0468 Å, c = 9.5896 Å
α = 89.63°, β = 89.80°, γ = 60.27°
Space group P-1 (No. 2)
Symmetry-distinct sites (fractional):
1 Na 0.1662 0.1677 0.2214 x2
2 Mg 0.1671 0.1665 0.5731 x2
3 Mg 0.5000 0.5000 0.0000 x1
4 Cd 0.1670 0.1661 0.8947 x2
5 Cd 0.4992 0.5006 0.3404 x2

Peak list (8 most intense, 2θ = 10–90°, in order of rising 2θ)
(hkl), 2θ (°), intensity
0 1 1, 22.30, 736
1 1 -1, 22.45, 331
1 1 3, 34.70, 506
1 0 -3, 34.80, 1000
1 -1 0, 35.47, 482
2 1 0, 35.62, 954
0 2 3, 50.36, 167
2 0 3, 50.57, 170



Entry 3:
NaSr2Mg12Cd3: simulated powder XRD pattern (Cu Kα), based on a crystal structure in Alexandria, relaxed with GGA-PBE.
Lines closer than 0.1° are merged.

Cell and atoms:
a = 10.7067 Å, b = 10.7067 Å, c = 14.7624 Å
α = 90.00°, β = 90.00°, γ = 120.00°
Space group R-3m (No. 166, hexagonal axes)
Symmetry-distinct sites (fractional):
1 Na 0.0000 0.0000 0.0000 x3
2 Sr 0.0000 0.0000 0.2567 x6
3 Mg 0.0048 0.5024 0.6995 x18
4 Mg 0.0518 0.5259 0.1011 x18
5 Cd 0.0000 0.5000 0.5000 x9

Peak list (8 most intense, 2θ = 10–90°, in order of rising 2θ)
(hkl), 2θ (°), intensity
0 1 2, 15.34, 424
0 2 1, 20.07, 382
1 2 2, 28.19, 431
0 2 4, 30.97, 421
2 2 0, 33.48, 1000
2 0 5, 36.07, 525
0 4 5, 50.03, 174
2 4 4, 58.29, 166



Entry 4:
NaMg2Tl2Cd2: simulated powder XRD pattern (Cu Kα), based on a crystal structure in Alexandria, relaxed with GGA-PBE.
Lines closer than 0.1° are merged.

Cell and atoms:
a = 9.6771 Å, b = 4.6004 Å, c = 7.8708 Å
α = 90.00°, β = 99.52°, γ = 90.00°
Space group C2/m (No. 12)
Symmetry-distinct sites (fractional):
1 Na 0.0000 0.0000 0.0000 x2
2 Mg 0.0843 0.5000 0.6983 x4
3 Tl 0.2023 0.5000 0.1589 x4
4 Cd 0.1345 0.0000 0.4328 x4

Peak list (8 most intense, 2θ = 10–90°, in order of rising 2θ)
(hkl), 2θ (°), intensity
2 0 0, 18.59, 374
2 0 1, 23.44, 330
1 1 -1, 23.60, 693
1 1 2, 32.73, 1000
3 1 -1, 34.66, 936
2 0 -3, 36.67, 321
0 2 0, 39.16, 310
4 0 1, 41.39, 255



What is the formula in the fourth record? NaMg2Tl2Cd2



What did the first record say?
NaMgCd4: simulated powder XRD pattern (Cu Kα), based on a crystal structure in Alexandria, relaxed with GGA-PBE.
Lines closer than 0.1° are merged.

Cell and atoms:
a = 3.1475 Å, b = 5.0855 Å, c = 8.7225 Å
α = 90.00°, β = 90.05°, γ = 90.00°
Space group P2/m (No. 10)
Symmetry-distinct sites (fractional):
1 Na 0.0000 0.0000 0.0000 x1
2 Mg 0.0000 0.5000 0.5000 x1
3 Cd 0.4983 0.0000 0.6654 x2
4 Cd 0.5003 0.5000 0.1696 x2

Peak list (8 most intense, 2θ = 10–90°, in order of rising 2θ)
(hkl), 2θ (°), intensity
0 1 1, 20.21, 504
1 0 0, 28.36, 590
1 0 -2, 35.09, 782
0 2 0, 35.30, 512
0 1 3, 35.57, 1000
1 2 0, 45.88, 309
1 1 3, 46.10, 607
0 3 3, 63.52, 268